1.
Ce2Pa2Os3: computed powder diffractogram (Cu Kα), based on a structure optimized by DFT (PBE).

Cell and atoms:
a b c (Å): 3.9895 6.7590 7.0490
angles (deg): 99.28 90.07 107.15
Space group P-1 (No. 2)
Symmetry-distinct sites (fractional):
Ce (0.1292, 0.2560, 0.3648) x2
Pa (0.3690, 0.7375, 0.1011) x2
Os (0.0000, 0.0000, 0.0000) x1
Os (0.2355, 0.4724, 0.7424) x2

Largest 12 diffraction maxima, in order of rising 2θ, 2θ from 15° to 90°:
2θ (°), I_rel, h k l
31.36, 50, 0 1 2
31.97, 100, 1 1 -1
44.77, 38, 1 -1 3
45.47, 19, 2 -1 0
46.01, 34, 1 2 1
46.21, 17, 0 3 -2
55.85, 10, 0 2 -4
56.27, 19, 2 0 2
57.95, 8, 0 4 0
66.84, 12, 2 -4 2
75.47, 9, 3 -3 1
76.57, 15, 1 -5 3

---

2.
CePaTeOs: computed powder diffractogram (Cu Kα), based on a structure optimized by DFT (PBE).

Cell and atoms:
a b c (Å): 4.0610 4.0610 22.8543
angles (deg): 90.00 90.00 120.00
Space group R3m (No. 160, hexagonal axes)
Symmetry-distinct sites (fractional):
Ce (0.0000, 0.0000, 0.0000) x3
Pa (0.0000, 0.0000, 0.8010) x3
Te (0.0000, 0.0000, 0.2318) x3
Os (0.0000, 0.0000, 0.4071) x3

Largest 12 diffraction maxima, in order of rising 2θ, 2θ from 15° to 90°:
2θ (°), I_rel, h k l
26.52, 35, 0 1 2
29.83, 11, 1 0 4
32.11, 100, 0 1 5
37.59, 24, 1 0 7
44.63, 46, 1 1 0
47.44, 24, 1 0 10
56.03, 21, 2 0 5
67.17, 8, 0 2 10
67.42, 10, 1 1 12
74.31, 18, 1 2 5
82.23, 8, 3 0 0
84.28, 9, 2 1 10

---

Number 1 is which compound?
Ce2Pa2Os3